Entry 1:
Simulated XRD peak list of Dy2TmLu5 for Cu Kα (weighted mean of Kα1 and Kα2), from a cell relaxed with PBE.

Atomic structure:
```
data_Dy2TmLu5
_cell_length_a 5.507
_cell_length_b 7.066
_cell_length_c 12.239
_cell_angle_alpha 90.00
_cell_angle_beta 90.00
_cell_angle_gamma 90.00
_space_group_name_H-M_alt 'A m m 2'
_space_group_IT_number 38
loop_
_space_group_symop_operation_xyz
'x,y,z'
'-x,-y,z'
'-x,y,z'
'x,-y,z'
'x,y+1/2,z+1/2'
'-x,-y+1/2,z+1/2'
'-x,y+1/2,z+1/2'
'x,-y+1/2,z+1/2'
loop_
_atom_site_label
_atom_site_type_symbol
_atom_site_fract_x
_atom_site_fract_y
_atom_site_fract_z
Dy1 Dy 0.000 0.000 0.000
Dy2 Dy 0.500 0.000 0.333
Tm1 Tm 0.500 0.000 0.833
Lu1 Lu 0.000 0.000 0.500
Lu2 Lu 0.000 0.249 0.750
Lu3 Lu 0.500 0.249 0.584
```

Largest 10 diffraction maxima, by angle, 10 to 90 degrees two-theta:
Position (°2θ)  Rel. int.
29.19  24
32.52  24
33.51  100
44.25  16
51.75  20
58.65  20
62.46  22
63.07  16
81.99  8
85.87  14

***

Entry 2:
Simulated XRD peak list of Li4SiIr2Pb for Cu Kα (weighted mean of Kα1 and Kα2), from a cell relaxed with PBE.

Atomic structure:
```
data_Li4SiIr2Pb
_cell_length_a 4.166
_cell_length_b 4.166
_cell_length_c 6.558
_cell_angle_alpha 90.00
_cell_angle_beta 90.00
_cell_angle_gamma 90.00
_space_group_name_H-M_alt 'P -4 m 2'
_space_group_IT_number 115
loop_
_space_group_symop_operation_xyz
'x,y,z'
'y,-x,-z'
'-x,-y,z'
'-y,x,-z'
'-x,y,z'
'-y,-x,-z'
'x,-y,z'
'y,x,-z'
loop_
_atom_site_label
_atom_site_type_symbol
_atom_site_fract_x
_atom_site_fract_y
_atom_site_fract_z
Li1 Li 0.000 0.000 0.000
Li2 Li 0.000 0.500 0.719
Li3 Li 0.500 0.500 0.500
Si1 Si 0.000 0.000 0.500
Ir1 Ir 0.000 0.500 0.292
Pb1 Pb 0.500 0.500 0.000
```

Largest 10 diffraction maxima, by angle, 10 to 90 degrees two-theta:
Position (°2θ)  Rel. int.
21.33  13
25.33  100
33.34  22
34.82  17
41.19  54
43.44  28
46.94  13
50.96  31
61.49  10
78.21  22